No. 1
For YHoIr2, the PBE geometry in the Materials Project gives the computed powder diffractogram in this record (a wavelength of 1.5418 Å).
Peak positions follow from Bragg's law for the DFT cell and can differ from measured ones.

The 6 most intense peaks (2θ = 10–90°), by angle:
2θ = 22.5°, rel. 3; 2θ = 26.0°, rel. 5; 2θ = 37.1°, rel. 100; 2θ = 53.5°, rel. 18; 2θ = 66.9°, rel. 36; 2θ = 79.0°, rel. 11

Structure:
```
4
Lattice="0.0000 3.4266 3.4266 3.4266 0.0000 3.4266 3.4266 3.4266 0.0000" Properties=species:S:1:pos:R:3 pbc="T T T"
Y 0.0000 0.0000 0.0000
Ho 3.4266 3.4266 3.4266
Ir 1.7133 1.7133 1.7133
Ir 5.1399 5.1399 5.1399
```

=====

No. 2
For Cs2EuAuCl6, the PBE geometry in the Materials Project gives the computed powder diffractogram in this record (a wavelength of 1.5418 Å).
Peak positions follow from Bragg's law for the DFT cell and can differ from measured ones.

The 6 most intense peaks (2θ = 10–90°), by angle:
2θ = 23.1°, rel. 100; 2θ = 32.8°, rel. 49; 2θ = 40.5°, rel. 47; 2θ = 47.1°, rel. 34; 2θ = 53.1°, rel. 22; 2θ = 63.9°, rel. 25

Structure:
```
10
Lattice="0.0000 5.4537 5.4537 5.4537 0.0000 5.4537 5.4537 5.4537 0.0000" Properties=species:S:1:pos:R:3 pbc="T T T"
Cs 2.7268 2.7268 2.7268
Cs 8.1805 8.1805 8.1805
Eu 0.0000 0.0000 0.0000
Au 5.4537 5.4537 5.4537
Cl 5.4537 5.4537 2.7571
Cl 5.4537 2.7571 5.4537
Cl 8.1502 5.4537 5.4537
Cl 2.7571 5.4537 5.4537
Cl 5.4537 8.1502 5.4537
Cl 5.4537 5.4537 8.1502
```

=====

No. 3
For Ag3As, the PBE geometry in the Materials Project gives the computed powder diffractogram in this record (a wavelength of 1.5418 Å).
Peak positions follow from Bragg's law for the DFT cell and can differ from measured ones.

The 6 most intense peaks (2θ = 10–90°), by angle:
2θ = 37.1°, rel. 100; 2θ = 43.0°, rel. 33; 2θ = 43.3°, rel. 16; 2θ = 62.7°, rel. 20; 2θ = 75.0°, rel. 24; 2θ = 75.4°, rel. 12

Structure:
```
4
Lattice="-2.1018 2.1018 4.1753 2.1018 -2.1018 4.1753 2.1018 2.1018 -4.1753" Properties=species:S:1:pos:R:3 pbc="T T T"
Ag 0.0000 0.0000 0.0000
Ag 2.1018 0.0000 2.0876
Ag 0.0000 2.1018 2.0876
As 0.0000 0.0000 4.1753
```

=====

No. 4
For V2NiS4, the PBE geometry in the Materials Project gives the computed powder diffractogram in this record (a wavelength of 1.5418 Å).
Peak positions follow from Bragg's law for the DFT cell and can differ from measured ones.

The 6 most intense peaks (2θ = 10–90°), by angle:
2θ = 17.6°, rel. 80; 2θ = 31.7°, rel. 46; 2θ = 35.4°, rel. 79; 2θ = 45.6°, rel. 88; 2θ = 46.8°, rel. 100; 2θ = 55.1°, rel. 67

Structure:
```
7
Lattice="6.0819 -1.6121 0.0000 6.0819 1.6121 0.0000 -2.5454 0.0000 5.2725" Properties=species:S:1:pos:R:3 pbc="T T T"
V 2.4552 0.0000 1.0065
V 7.1633 0.0000 4.2659
Ni 4.8092 0.0000 2.6362
S 0.4636 0.0000 2.5313
S 4.6409 0.0000 0.2816
S 4.9776 0.0000 4.9908
S 9.1548 0.0000 2.7412
```

=====

No. 5
For ThFe2Ge2, the PBE geometry in the Materials Project gives the computed powder diffractogram in this record (a wavelength of 1.5418 Å).
Peak positions follow from Bragg's law for the DFT cell and can differ from measured ones.

The 6 most intense peaks (2θ = 10–90°), by angle:
2θ = 23.4°, rel. 33; 2θ = 30.6°, rel. 37; 2θ = 34.9°, rel. 100; 2θ = 35.7°, rel. 79; 2θ = 43.8°, rel. 52; 2θ = 57.2°, rel. 49

Structure:
```
5
Lattice="-2.0650 2.0650 4.9282 2.0650 -2.0650 4.9282 2.0650 2.0650 -4.9282" Properties=species:S:1:pos:R:3 pbc="T T T"
Th 0.0000 0.0000 0.0000
Fe 2.0650 0.0000 2.4641
Fe 0.0000 2.0650 2.4641
Ge 0.0000 0.0000 3.5863
Ge 0.0000 0.0000 6.2700
```

=====

No. 6
For Sc6Te2Rh, the PBE geometry in the Materials Project gives the computed powder diffractogram in this record (a wavelength of 1.5418 Å).
Peak positions follow from Bragg's law for the DFT cell and can differ from measured ones.

The 6 most intense peaks (2θ = 10–90°), by angle:
2θ = 22.8°, rel. 88; 2θ = 26.9°, rel. 44; 2θ = 32.9°, rel. 66; 2θ = 35.6°, rel. 100; 2θ = 40.0°, rel. 70; 2θ = 42.7°, rel. 80

Structure:
```
9
Lattice="7.8064 0.0000 0.0000 -3.9032 6.7605 0.0000 0.0000 0.0000 3.7938" Properties=species:S:1:pos:R:3 pbc="T T T"
Sc -0.9467 1.6397 0.0000
Sc -2.3749 4.1135 1.8969
Sc 1.8933 0.0000 0.0000
Sc 1.5282 2.6470 1.8969
Sc 4.7499 0.0000 1.8969
Sc 2.9565 5.1208 0.0000
Te 0.0000 4.5070 0.0000
Te 3.9032 2.2535 0.0000
Rh 0.0000 0.0000 1.8969
```

=====

No. 7
For CsFeBr4, the PBE geometry in the Materials Project gives the computed powder diffractogram in this record (a wavelength of 1.5418 Å).
Peak positions follow from Bragg's law for the DFT cell and can differ from measured ones.

The 6 most intense peaks (2θ = 10–90°), by angle:
2θ = 20.1°, rel. 53; 2θ = 22.0°, rel. 82; 2θ = 27.5°, rel. 49; 2θ = 28.4°, rel. 84; 2θ = 29.5°, rel. 50; 2θ = 29.7°, rel. 100

Structure:
```
24
Lattice="12.6020 0.0000 0.0000 0.0000 7.7726 0.0000 0.0000 0.0000 10.2130" Properties=species:S:1:pos:R:3 pbc="T T T"
Cs 2.3131 1.9431 1.6201
Cs 3.9879 5.8294 6.7266
Cs 8.6141 1.9431 3.4863
Cs 10.2888 5.8294 8.5928
Fe 0.7965 1.9431 7.0612
Fe 5.5045 5.8294 1.9548
Fe 7.0975 1.9431 8.2582
Fe 11.8055 5.8294 3.1517
Br 1.0387 0.0224 8.4341
Br 1.0387 3.8639 8.4341
Br 1.3424 5.8294 4.1047
Br 2.4981 1.9431 5.4400
Br 3.8029 5.8294 0.3335
Br 4.9585 1.9431 9.2112
Br 5.2623 3.9087 3.3276
Br 5.2623 7.7502 3.3276
Br 7.3397 0.0224 6.8853
Br 7.3397 3.8639 6.8853
Br 7.6434 5.8294 1.0018
Br 8.7991 1.9431 9.8795
Br 10.1039 5.8294 4.7730
Br 11.2595 1.9431 6.1083
Br 11.5632 3.9087 1.7788
Br 11.5632 7.7502 1.7788
```